Record 1
# V8SnC2
Simulated XRD peak list, Cu Kα. Input: DFT lattice parameters and positions (GGA-PBE).

Main lines, in order of falling intensity (2θ from 10° to 90°):
2theta  d_spacing  I/Imax
42.91  2.108  100
39.11  2.303  80
40.91  2.206  61
39.35  2.290  39
40.35  2.235  36
46.57  1.950  23
58.05  1.589  23
27.56  3.236  22
80.40  1.194  21
75.88  1.254  20

```
data_V8SnC2
_chemical_formula_sum 'V16 Sn2 C4'
_symmetry_space_group_name_H-M 'I m m m'
_symmetry_Int_Tables_number 71
_symmetry_space_group_name_Hall '-I 2 2'
_cell_length_a 4.4123
_cell_length_b 4.8831
_cell_length_c 12.9642
_cell_angle_alpha 90.00
_cell_angle_beta 90.00
_cell_angle_gamma 90.00
loop_
_atom_site_label
_atom_site_fract_x
_atom_site_fract_y
_atom_site_fract_z
V1 0.0000 0.0000 0.1162
V2 0.0000 0.2485 0.4013
V3 0.0000 0.5000 0.2280
Sn1 0.0000 0.5000 0.0000
C1 0.0000 0.0000 0.2688
```



Record 2
# Y8SnC4
Simulated XRD peak list, Cu Kα. Input: DFT lattice parameters and positions (GGA-PBE).

Main lines, in order of falling intensity (2θ from 10° to 90°):
2theta  d_spacing  I/Imax
31.93  2.803  100
33.25  2.694  94
30.84  2.899  65
32.50  2.755  42
34.81  2.577  38
52.06  1.757  36
28.84  3.096  29
49.91  1.827  21
59.83  1.546  20
57.25  1.609  19

```
data_Y8SnC4
_chemical_formula_sum 'Y16 Sn2 C8'
_symmetry_space_group_name_H-M 'C 1 2/m 1'
_symmetry_Int_Tables_number 12
_cell_length_a 17.4656
_cell_length_b 3.6547
_cell_length_c 11.9706
_cell_angle_alpha 90.00
_cell_angle_beta 131.39
_cell_angle_gamma 90.00
loop_
_symmetry_equiv_pos_as_xyz
'x,y,z'
'-x,-y,-z'
'-x,y,-z'
'x,-y,z'
'x+1/2,y+1/2,z'
'-x+1/2,-y+1/2,-z'
'-x+1/2,y+1/2,-z'
'x+1/2,-y+1/2,z'
loop_
_atom_site_label
_atom_site_fract_x
_atom_site_fract_y
_atom_site_fract_z
Y1 0.0420 0.0000 0.2358
Y2 0.1332 0.5000 0.0909
Y3 0.1625 0.5000 0.8386
Y4 0.2018 0.5000 0.5649
Sn1 0.0000 0.0000 0.5000
C1 0.1487 0.0000 0.9634
C2 0.1670 0.5000 0.3287
```



Record 3
# Y4SnC
Simulated XRD peak list, Cu Kα. Input: DFT lattice parameters and positions (GGA-PBE).

Main lines, in order of falling intensity (2θ from 10° to 90°):
2theta  d_spacing  I/Imax
31.59  2.832  100
29.86  2.992  54
36.08  2.490  32
37.86  2.376  28
30.80  2.903  28
30.18  2.961  25
18.34  4.838  25
18.84  4.711  24
37.17  2.419  21
26.41  3.375  20

```
data_Y4SnC
_chemical_formula_sum 'Y8 Sn2 C2'
_symmetry_space_group_name_H-M 'P 1 21/m 1'
_symmetry_Int_Tables_number 11
_cell_length_a 6.0488
_cell_length_b 9.6758
_cell_length_c 6.0658
_cell_angle_alpha 90.00
_cell_angle_beta 102.10
_cell_angle_gamma 90.00
loop_
_symmetry_equiv_pos_as_xyz
'x,y,z'
'-x,-y,-z'
'-x,y+1/2,-z'
'x,-y+1/2,z'
loop_
_atom_site_label
_atom_site_fract_x
_atom_site_fract_y
_atom_site_fract_z
Y1 0.1279 0.2500 0.2287
Y2 0.2577 0.0490 0.7560
Y3 0.2704 0.7500 0.3739
Sn1 0.4080 0.7500 0.9099
C1 0.1007 0.2500 0.5987
```